1.
Calculated PXRD pattern
Compound: Tb10B2Br15
Radiation: copper Kα
Structure: a structure optimized by DFT (GGA-PBE)
Kinematic intensities with the Lorentz-polarization factor, no thermal factor.

Most intense lines, 2θ from 10° to 90°, sorted by position:
h k l	d/Å	I/Imax
1 0 -1	7.944	16
1 0 0	7.589	19
0 2 -3	2.889	49
1 2 1	2.859	100
4 0 -1	2.046	17
1 0 4	2.033	48
3 0 -5	2.029	17
-2 4 3	1.998	16

Lattice parameters (Å, degrees): 9.097 9.866 10.724 91.21 114.51 110.76
Space group P-1 (No. 2)
Inequivalent atoms, fractional coordinates:
Tb1 0.025 0.205 0.094 (multiplicity 2)
Tb2 0.085 0.541 0.323 (multiplicity 2)
Tb3 0.174 0.247 0.822 (multiplicity 2)
Tb4 0.221 0.574 0.048 (multiplicity 2)
Tb5 0.299 0.908 0.275 (multiplicity 2)
B1 0.033 0.680 0.123 (multiplicity 2)
Br1 0.092 0.037 0.341 (multiplicity 2)
Br2 0.138 0.383 0.584 (multiplicity 2)
Br3 0.210 0.738 0.820 (multiplicity 2)
Br4 0.269 0.090 0.057 (multiplicity 2)
Br5 0.335 0.442 0.298 (multiplicity 2)
Br6 0.384 0.800 0.529 (multiplicity 2)
Br7 0.444 0.158 0.773 (multiplicity 2)
Br8 0.500 0.500 0.000 (multiplicity 1)

2.
Calculated PXRD pattern
Compound: RbCaBr3
Radiation: copper Kα
Structure: a structure optimized by DFT (GGA-PBE)
Kinematic intensities with the Lorentz-polarization factor, no thermal factor.

Most intense lines, 2θ from 10° to 90°, sorted by position:
h k l	d/Å	I/Imax
1 1 3	3.244	56
2 1 1	3.224	100
2 0 4	3.149	34
1 0 5	3.109	51
2 1 2	3.051	93
0 1 5	2.632	22
0 2 0	2.210	32
1 1 7	2.024	21

Lattice parameters (Å, degrees): 9.847 4.420 16.384 90.00 90.00 90.00
Space group Pnma (No. 62)
Inequivalent atoms, fractional coordinates:
Rb1 0.070 0.250 0.179 (multiplicity 4)
Ca1 0.169 0.750 0.445 (multiplicity 4)
Br1 0.018 0.750 0.601 (multiplicity 4)
Br2 0.168 0.750 0.009 (multiplicity 4)
Br3 0.210 0.250 0.789 (multiplicity 4)